No. 1
Computed X-ray diffraction stick pattern
Compound: Ca2Sn2Sb
Radiation: Cu Kα
Structure: a DFT-relaxed cell (GGA-PBE, Alexandria)
No peak broadening, texture or thermal motion is included.

Cell and atoms:
Cell: 8.0359 8.0359 4.6156 Å, 90.00 90.00 90.00°
Space group P4/mbm (No. 127)
Asymmetric unit:
Ca1 0.1741 0.3259 0.0000 x4
Sn1 0.1275 0.6275 0.5000 x4
Sb1 0.0000 0.0000 0.5000 x2

Most intense lines, 10° ≤ 2θ ≤ 90°, sorted by position:
two_theta  I (rel.)  hkl
19.23  52  0 0 1
24.78  19  2 1 0
29.47  26  2 0 1
31.55  100  2 1 1
35.32  49  3 1 0
39.03  23  0 0 2
40.51  48  3 1 1
45.17  18  3 2 1
53.65  29  3 1 2
65.76  18  4 4 0

No. 2
Computed X-ray diffraction stick pattern
Compound: Ca7Sn2Sb2
Radiation: Cu Kα
Structure: a DFT-relaxed cell (GGA-PBE, Alexandria)
No peak broadening, texture or thermal motion is included.

Cell and atoms:
Cell: 9.9099 11.1126 7.4310 Å, 90.00 90.00 90.00°
Space group Cmmm (No. 65)
Asymmetric unit:
Ca1 0.0000 0.0000 0.0000 x2
Ca2 0.0000 0.5000 0.2639 x4
Ca3 0.2500 0.2500 0.2649 x8
Sn1 0.2259 0.0000 0.5000 x4
Sb1 0.0000 0.2767 0.0000 x4

Most intense lines, 10° ≤ 2θ ≤ 90°, sorted by position:
two_theta  I (rel.)  hkl
19.95  75  0 2 1
21.56  100  2 0 1
32.22  35  0 4 0
34.21  100  2 2 2
35.40  16  1 3 2
36.26  27  4 0 0
39.10  35  2 4 1
40.72  17  2 0 3
41.72  21  4 2 1
49.28  18  4 4 0